For Pr7Ga2N, DFT lattice parameters and positions (PBE) gives the computed powder X-ray diffraction pattern in this record (Cu Kα, 1.54184 Å).

Main lines, by angle (10 to 90 degrees two-theta):
2theta  d/Å  I/Imax
16.8  5.278  39
29.3  3.047  100
34.0  2.639  96
37.1  2.422  21
48.8  1.866  65
58.0  1.591  37
60.8  1.523  21
81.6  1.180  24

Lattice parameters (Å, degrees): 10.555 10.555 10.555 90.00 90.00 90.00
Space group Fm-3m (No. 225)
Inequivalent atoms, fractional coordinates:
Pr 0.000 0.000 0.000 (multiplicity 4)
Pr 0.000 0.000 0.269 (multiplicity 24)
Ga 0.250 0.250 0.250 (multiplicity 8)
N 0.000 0.000 0.500 (multiplicity 4)

For Pr2SmGaN, DFT lattice parameters and positions (PBE) gives the computed powder X-ray diffraction pattern in this record (Cu Kα, 1.54184 Å).

Main lines, by angle (10 to 90 degrees two-theta):
2theta  d/Å  I/Imax
31.1  2.876  100
35.7  2.513  38
36.7  2.448  18
51.4  1.777  13
52.2  1.753  26
61.3  1.512  29
62.6  1.483  14
64.8  1.438  13

Lattice parameters (Å, degrees): 5.025 5.025 4.896 90.00 90.00 90.00
Space group P4/mmm (No. 123)
Inequivalent atoms, fractional coordinates:
Pr 0.000 0.500 0.000 (multiplicity 2)
Sm 0.000 0.000 0.500 (multiplicity 1)
Ga 0.500 0.500 0.500 (multiplicity 1)
N 0.000 0.000 0.000 (multiplicity 1)

For GaPt2N, DFT lattice parameters and positions (PBE) gives the computed powder X-ray diffraction pattern in this record (Cu Kα, 1.54184 Å).

Main lines, by angle (10 to 90 degrees two-theta):
2theta  d/Å  I/Imax
19.8  4.491  14
29.6  3.015  25
30.2  2.958  100
31.1  2.877  20
42.2  2.143  46
48.0  1.896  21
49.0  1.860  29
54.8  1.676  19

Lattice parameters (Å, degrees): 4.878 4.878 11.506 90.00 90.00 90.00
Space group I-42d (No. 122)
Inequivalent atoms, fractional coordinates:
Ga 0.000 0.000 0.000 (multiplicity 4)
Pt 0.149 0.250 0.625 (multiplicity 8)
N 0.000 0.000 0.500 (multiplicity 4)

For GaReN2, DFT lattice parameters and positions (PBE) gives the computed powder X-ray diffraction pattern in this record (Cu Kα, 1.54184 Å).

Main lines, by angle (10 to 90 degrees two-theta):
2theta  d/Å  I/Imax
14.7  6.044  39
29.6  3.022  45
34.8  2.575  27
35.9  2.500  100
40.0  2.256  59
53.6  1.709  33
61.8  1.502  23
70.0  1.345  24

Lattice parameters (Å, degrees): 3.0035 3.0035 18.1316 90.00 90.00 120.00
Space group R-3m (No. 166, hexagonal axes)
Inequivalent atoms, fractional coordinates:
Ga 0.0000 0.0000 0.0000 (multiplicity 3)
Re 0.0000 0.0000 0.5000 (multiplicity 3)
N 0.0000 0.0000 0.3963 (multiplicity 6)

For GaRhN, DFT lattice parameters and positions (PBE) gives the computed powder X-ray diffraction pattern in this record (Cu Kα, 1.54184 Å).

Main lines, by angle (10 to 90 degrees two-theta):
2theta  d/Å  I/Imax
34.1  2.631  14
38.5  2.338  100
44.5  2.037  46
44.9  2.018  44
65.1  1.434  24
65.4  1.427  14
78.5  1.218  25
82.5  1.169  20

Lattice parameters (Å, degrees): 2.854 2.854 20.368 90.00 90.00 90.00
Space group I4/mmm (No. 139)
Inequivalent atoms, fractional coordinates:
Ga 0.000 0.000 0.108 (multiplicity 4)
Rh 0.000 0.000 0.296 (multiplicity 4)
N 0.000 0.000 0.404 (multiplicity 4)

For Sc4GaSbN, DFT lattice parameters and positions (PBE) gives the computed powder X-ray diffraction pattern in this record (Cu Kα, 1.54184 Å).

Main lines, by angle (10 to 90 degrees two-theta):
2theta  d/Å  I/Imax
27.5  3.244  26
29.2  3.063  48
31.7  2.827  44
36.7  2.449  28
38.3  2.352  100
41.7  2.166  60
56.7  1.622  29
73.8  1.283  26

Lattice parameters (Å, degrees): 6.122 14.692 6.128 90.00 90.00 90.00
Space group Cmcm (No. 63)
Inequivalent atoms, fractional coordinates:
Sc 0.000 0.088 0.250 (multiplicity 4)
Sc 0.000 0.404 0.250 (multiplicity 4)
Sc 0.250 0.250 0.000 (multiplicity 8)
Ga 0.000 0.111 0.750 (multiplicity 4)
Sb 0.000 0.396 0.750 (multiplicity 4)
N 0.000 0.247 0.250 (multiplicity 4)

For Sc4GaN, DFT lattice parameters and positions (PBE) gives the computed powder X-ray diffraction pattern in this record (Cu Kα, 1.54184 Å).

Main lines, by angle (10 to 90 degrees two-theta):
2theta  d/Å  I/Imax
20.9  4.253  59
32.1  2.787  75
34.5  2.597  44
36.2  2.484  100
37.4  2.404  40
39.7  2.269  60
48.1  1.891  25
65.6  1.423  26

Lattice parameters (Å, degrees): 4.538 8.505 6.334 90.00 90.00 90.00
Space group Pmmn (No. 59, origin choice 2)
Inequivalent atoms, fractional coordinates:
Sc 0.250 0.058 0.191 (multiplicity 4)
Sc 0.250 0.250 0.717 (multiplicity 2)
Sc 0.250 0.750 0.591 (multiplicity 2)
Ga 0.250 0.750 0.028 (multiplicity 2)
N 0.250 0.250 0.394 (multiplicity 2)

For GaTe2SeN, DFT lattice parameters and positions (PBE) gives the computed powder X-ray diffraction pattern in this record (Cu Kα, 1.54184 Å).

Main lines, by angle (10 to 90 degrees two-theta):
2theta  d/Å  I/Imax
24.8  3.586  28
29.5  3.024  27
31.8  2.813  100
33.6  2.664  71
40.8  2.213  31
45.6  1.989  36
57.9  1.594  29
61.3  1.512  29

Lattice parameters (Å, degrees): 5.625 5.625 3.586 90.00 90.00 90.00
Space group P4/mmm (No. 123)
Inequivalent atoms, fractional coordinates:
Ga 0.000 0.000 0.000 (multiplicity 1)
Te 0.000 0.500 0.000 (multiplicity 2)
Se 0.500 0.500 0.500 (multiplicity 1)
N 0.000 0.000 0.500 (multiplicity 1)

For GaSi2N3, DFT lattice parameters and positions (PBE) gives the computed powder X-ray diffraction pattern in this record (Cu Kα, 1.54184 Å).

Main lines, by angle (10 to 90 degrees two-theta):
2theta  d/Å  I/Imax
25.5  3.488  32
32.3  2.772  56
36.0  2.498  100
36.5  2.460  30
37.2  2.415  79
40.8  2.209  27
41.4  2.182  25
70.6  1.334  30

Lattice parameters (Å, degrees): 9.466 5.800 4.919 90.00 90.00 90.00
Space group Cmc2_1 (No. 36)
Inequivalent atoms, fractional coordinates:
Ga 0.000 0.134 0.000 (multiplicity 4)
Si 0.176 0.363 0.427 (multiplicity 8)
N 0.000 0.343 0.367 (multiplicity 4)
N 0.235 0.375 0.767 (multiplicity 8)

For Sm4GaSnN, DFT lattice parameters and positions (PBE) gives the computed powder X-ray diffraction pattern in this record (Cu Kα, 1.54184 Å).

Main lines, by angle (10 to 90 degrees two-theta):
2theta  d/Å  I/Imax
28.5  3.128  93
33.4  2.680  35
34.6  2.594  100
37.5  2.401  68
51.1  1.788  51
54.0  1.698  24
65.0  1.434  22
65.7  1.420  32

Lattice parameters (Å, degrees): 6.787 16.081 6.794 90.00 90.00 90.00
Space group Cmcm (No. 63)
Inequivalent atoms, fractional coordinates:
Sm 0.000 0.079 0.250 (multiplicity 4)
Sm 0.000 0.412 0.250 (multiplicity 4)
Sm 0.250 0.250 0.000 (multiplicity 8)
Ga 0.000 0.116 0.750 (multiplicity 4)
Sn 0.000 0.392 0.750 (multiplicity 4)
N 0.000 0.252 0.250 (multiplicity 4)

For Sr6GaN5, DFT lattice parameters and positions (PBE) gives the computed powder X-ray diffraction pattern in this record (Cu Kα, 1.54184 Å).

Main lines, by angle (10 to 90 degrees two-theta):
2theta  d/Å  I/Imax
20.4  4.347  39
27.3  3.269  47
27.4  3.253  88
30.7  2.909  95
31.4  2.850  47
33.7  2.661  100
38.4  2.343  73
41.6  2.171  86

Lattice parameters (Å, degrees): 6.7181 6.7181 13.0774 90.00 90.00 120.00
Space group P6_3/mcm (No. 193)
Inequivalent atoms, fractional coordinates:
Sr 0.0000 0.4077 0.1235 (multiplicity 12)
Ga 0.0000 0.0000 0.2500 (multiplicity 2)
N 0.0000 0.2850 0.7500 (multiplicity 6)
N 0.3333 0.6667 0.0000 (multiplicity 4)

For Sr6Ga5N, DFT lattice parameters and positions (PBE) gives the computed powder X-ray diffraction pattern in this record (Cu Kα, 1.54184 Å).

Main lines, by angle (10 to 90 degrees two-theta):
2theta  d/Å  I/Imax
16.0  5.525  26
27.4  3.250  78
30.7  2.908  81
32.4  2.762  72
35.1  2.558  100
36.2  2.484  60
39.9  2.257  26
56.2  1.637  29

Lattice parameters (Å, degrees): 7.6024 7.6024 40.6316 90.00 90.00 120.00
Space group R-3c (No. 167, hexagonal axes)
Inequivalent atoms, fractional coordinates:
Sr 0.0129 0.4448 0.2028 (multiplicity 36)
Ga 0.0000 0.0000 0.1946 (multiplicity 12)
Ga 0.0000 0.2094 0.7500 (multiplicity 18)
N 0.0000 0.0000 0.0000 (multiplicity 6)